Theoretical powder X-ray diffraction pattern of AlVTc for CuKα, from the PBE geometry in Alexandria.
Neutral-atom scattering factors, no anomalous dispersion.

Cell and atoms:
```
data_AlVTc
_cell_length_a 3.136
_cell_length_b 4.217
_cell_length_c 12.769
_cell_angle_alpha 90.00
_cell_angle_beta 90.00
_cell_angle_gamma 90.00
_symmetry_space_group_name_H-M 'A m m 2'
_symmetry_Int_Tables_number 38
loop_
_symmetry_equiv_pos_as_xyz
'x,y,z'
'-x,-y,z'
'-x,y,z'
'x,-y,z'
'x,y+1/2,z+1/2'
'-x,-y+1/2,z+1/2'
'-x,y+1/2,z+1/2'
'x,-y+1/2,z+1/2'
loop_
_atom_site_label
_atom_site_type_symbol
_atom_site_fract_x
_atom_site_fract_y
_atom_site_fract_z
_atom_site_occupancy
Al1 Al 0.000 0.000 0.000 1
Al2 Al 0.500 0.000 0.178 1
V1 V 0.000 0.000 0.347 1
V2 V 0.000 0.000 0.670 1
Tc1 Tc 0.500 0.000 0.512 1
Tc2 Tc 0.500 0.000 0.833 1
```

Largest 10 diffraction maxima, by angle, 2θ = 10–90°:
h k l  Position (°2θ)  d [Å]  I_rel
0 0 2  13.9  6.384  10
0 1 1  22.2  4.004  20
0 1 3  29.8  2.996  10
1 1 3  41.7  2.166  100
0 0 6  42.5  2.128  23
0 2 0  42.9  2.109  23
2 0 0  58.9  1.568  9
0 2 6  62.0  1.498  14
1 1 9  77.2  1.236  14
1 3 3  77.8  1.228  15

=====

Theoretical powder X-ray diffraction pattern of La2ZnGa6Au for CuKα, from the PBE geometry in Alexandria.
Neutral-atom scattering factors, no anomalous dispersion.

Cell and atoms:
```
data_La2ZnGa6Au
_cell_length_a 6.4874
_cell_length_b 6.4874
_cell_length_c 36.2032
_cell_angle_alpha 90.00
_cell_angle_beta 90.00
_cell_angle_gamma 120.00
_symmetry_space_group_name_H-M 'R -3 m'
_symmetry_Int_Tables_number 166
_symmetry_space_group_name_Hall '-R 3 2"'
loop_
_atom_site_label
_atom_site_type_symbol
_atom_site_fract_x
_atom_site_fract_y
_atom_site_fract_z
_atom_site_occupancy
La1 La 0.0000 0.0000 0.1089 1
La2 La 0.0000 0.0000 0.2862 1
Zn1 Zn 0.0000 0.0000 0.4278 1
Ga1 Ga 0.0582 0.5291 0.2964 1
Ga2 Ga 0.0734 0.5367 0.8677 1
Au1 Au 0.0000 0.0000 0.0000 1
Au2 Au 0.0000 0.0000 0.5000 1
```

Largest 10 diffraction maxima, by angle, 2θ = 10–90°:
h k l  Position (°2θ)  d [Å]  I_rel
1 1 0  27.5  3.244  100
1 0 10  29.3  3.043  74
2 0 5  34.2  2.619  66
0 2 7  36.4  2.468  69
0 2 10  40.7  2.219  45
1 2 2  42.9  2.109  40
2 0 14  47.8  1.903  27
1 1 18  53.6  1.709  31
2 2 0  56.8  1.622  40
2 1 28  88.5  1.104  26

=====

Theoretical powder X-ray diffraction pattern of Nb2Si2Tc for CuKα, from the PBE geometry in Alexandria.
Neutral-atom scattering factors, no anomalous dispersion.

Cell and atoms:
```
data_Nb2Si2Tc
_cell_length_a 6.465
_cell_length_b 6.465
_cell_length_c 7.308
_cell_angle_alpha 90.00
_cell_angle_beta 90.00
_cell_angle_gamma 90.00
_symmetry_space_group_name_H-M 'P 4/m n c'
_symmetry_Int_Tables_number 128
_symmetry_space_group_name_Hall '-P 4 2n'
loop_
_atom_site_label
_atom_site_type_symbol
_atom_site_fract_x
_atom_site_fract_y
_atom_site_fract_z
_atom_site_occupancy
Nb1 Nb 0.160 0.321 0.000 1
Si1 Si 0.133 0.633 0.250 1
Tc1 Tc 0.000 0.000 0.287 1
```

Largest 10 diffraction maxima, by angle, 2θ = 10–90°:
h k l  Position (°2θ)  d [Å]  I_rel
2 1 0  30.9  2.891  29
1 1 2  31.3  2.854  34
2 0 2  37.1  2.421  62
2 2 0  39.4  2.286  18
2 1 2  39.8  2.267  100
3 1 0  44.3  2.044  54
0 0 4  49.9  1.827  18
4 1 2  64.7  1.441  16
3 3 2  66.5  1.406  18
3 1 4  68.9  1.362  19

=====

Theoretical powder X-ray diffraction pattern of CuSiH8O4F6 for CuKα, from the PBE geometry in Alexandria.
Neutral-atom scattering factors, no anomalous dispersion.

Cell and atoms:
```
data_CuSiH8O4F6
_cell_length_a 6.772
_cell_length_b 9.465
_cell_length_c 6.248
_cell_angle_alpha 90.00
_cell_angle_beta 110.04
_cell_angle_gamma 90.00
_symmetry_space_group_name_H-M 'P 1 21/c 1'
_symmetry_Int_Tables_number 14
loop_
_symmetry_equiv_pos_as_xyz
'x,y,z'
'-x,-y,-z'
'-x,y+1/2,-z+1/2'
'x,-y+1/2,z+1/2'
loop_
_atom_site_label
_atom_site_type_symbol
_atom_site_fract_x
_atom_site_fract_y
_atom_site_fract_z
_atom_site_occupancy
Cu1 Cu 0.000 0.000 0.000 1
Si1 Si 0.500 0.000 0.500 1
H1 H 0.040 0.213 0.284 1
H2 H 0.192 0.711 0.390 1
H3 H 0.241 0.097 0.795 1
H4 H 0.311 0.149 0.058 1
O1 O 0.073 0.649 0.311 1
O2 O 0.187 0.133 0.916 1
F1 F 0.305 0.592 0.796 1
F2 F 0.312 0.082 0.582 1
F3 F 0.484 0.134 0.309 1
```

Largest 10 diffraction maxima, by angle, 2θ = 10–90°:
h k l  Position (°2θ)  d [Å]  I_rel
0 2 0  18.8  4.732  36
1 1 -1  19.1  4.635  100
1 1 1  25.7  3.466  55
1 3 -1  33.0  2.713  19
0 2 2  36.0  2.494  12
2 2 -2  38.9  2.318  12
2 3 -1  39.4  2.285  9
2 2 1  41.3  2.186  12
2 4 -2  51.7  1.767  10
1 3 -3  52.7  1.737  10

=====

Theoretical powder X-ray diffraction pattern of V2Cu3Sb4 for CuKα, from the PBE geometry in Alexandria.
Neutral-atom scattering factors, no anomalous dispersion.

Cell and atoms:
```
data_V2Cu3Sb4
_cell_length_a 8.5677
_cell_length_b 8.5677
_cell_length_c 5.3011
_cell_angle_alpha 90.00
_cell_angle_beta 90.00
_cell_angle_gamma 120.00
_symmetry_space_group_name_H-M 'P 63/m m c'
_symmetry_Int_Tables_number 194
_symmetry_space_group_name_Hall '-P 6c 2c'
loop_
_atom_site_label
_atom_site_type_symbol
_atom_site_fract_x
_atom_site_fract_y
_atom_site_fract_z
_atom_site_occupancy
V1 V 0.0000 0.0000 0.0000 1
V2 V 0.3333 0.6667 0.2500 1
Cu1 Cu 0.0000 0.5000 0.0000 1
Sb1 Sb 0.1557 0.3115 0.2500 1
Sb2 Sb 0.3333 0.6667 0.7500 1
```

Largest 10 diffraction maxima, by angle, 2θ = 10–90°:
h k l  Position (°2θ)  d [Å]  I_rel
2 0 1  29.4  3.040  100
2 0 2  41.9  2.157  75
2 2 0  42.2  2.142  81
4 0 1  52.2  1.751  18
2 0 3  57.8  1.595  15
4 0 2  61.0  1.520  23
4 2 1  69.3  1.356  14
4 2 2  76.9  1.239  21
6 0 0  77.1  1.237  11
2 2 4  86.3  1.127  19

=====

Theoretical powder X-ray diffraction pattern of Pm2Pr2Bi5 for CuKα, from the PBE geometry in Alexandria.
Neutral-atom scattering factors, no anomalous dispersion.

Cell and atoms:
```
data_Pm2Pr2Bi5
_cell_length_a 16.512
_cell_length_b 8.445
_cell_length_c 8.613
_cell_angle_alpha 90.00
_cell_angle_beta 90.00
_cell_angle_gamma 90.00
_symmetry_space_group_name_H-M 'C m c e'
_symmetry_Int_Tables_number 64
_symmetry_space_group_name_Hall '-C 2ac 2'
loop_
_atom_site_label
_atom_site_type_symbol
_atom_site_fract_x
_atom_site_fract_y
_atom_site_fract_z
_atom_site_occupancy
Pm1 Pm 0.000 0.157 0.160 1
Pr1 Pr 0.192 0.000 0.500 1
Bi1 Bi 0.000 0.000 0.500 1
Bi2 Bi 0.139 0.147 0.853 1
```

Largest 10 diffraction maxima, by angle, 2θ = 10–90°:
h k l  Position (°2θ)  d [Å]  I_rel
0 2 1  23.5  3.791  22
2 2 1  25.9  3.445  25
3 1 2  28.4  3.147  100
0 2 2  29.6  3.015  28
5 1 1  30.9  2.896  34
4 2 1  32.1  2.792  84
6 0 0  32.5  2.752  34
1 1 3  33.4  2.682  65
1 3 1  33.9  2.641  62
3 5 2  61.3  1.513  30

=====

Theoretical powder X-ray diffraction pattern of NdSm2Te2 for CuKα, from the PBE geometry in Alexandria.
Neutral-atom scattering factors, no anomalous dispersion.

Cell and atoms:
```
data_NdSm2Te2
_cell_length_a 7.348
_cell_length_b 6.037
_cell_length_c 7.495
_cell_angle_alpha 90.00
_cell_angle_beta 104.48
_cell_angle_gamma 90.00
_symmetry_space_group_name_H-M 'C 1 2/m 1'
_symmetry_Int_Tables_number 12
loop_
_symmetry_equiv_pos_as_xyz
'x,y,z'
'-x,-y,-z'
'-x,y,-z'
'x,-y,z'
'x+1/2,y+1/2,z'
'-x+1/2,-y+1/2,-z'
'-x+1/2,y+1/2,-z'
'x+1/2,-y+1/2,z'
loop_
_atom_site_label
_atom_site_type_symbol
_atom_site_fract_x
_atom_site_fract_y
_atom_site_fract_z
_atom_site_occupancy
Nd1 Nd 0.000 0.000 0.000 1
Sm1 Sm 0.000 0.248 0.500 1
Te1 Te 0.174 0.500 0.207 1
```

Largest 10 diffraction maxima, by angle, 2θ = 10–90°:
h k l  Position (°2θ)  d [Å]  I_rel
1 1 1  24.5  3.630  76
2 0 0  25.0  3.557  25
2 0 -2  30.5  2.933  75
2 0 1  30.6  2.919  25
0 2 1  32.1  2.787  76
1 1 2  33.8  2.649  33
0 2 2  38.8  2.321  23
2 2 -1  39.1  2.303  100
3 1 0  40.9  2.207  23
2 2 3  59.8  1.547  23